Diffraction record for LiVFeO4. The X-ray diffraction stick pattern is computed, not measured: it uses a PBE+U-relaxed structure and copper Kα.
Kinematic intensities with the Lorentz-polarization factor, no thermal factor.

Peak list (8 most intense, 2θ from 10° to 80°, in order of falling intensity)
(hkl)  d (Å)  two_theta  I (rel.)
1 1 2  2.666  33.62  100
1 1 1  3.864  23.02  52
1 3 0  2.596  34.55  50
2 0 0  2.929  30.52  46
2 4 2  1.530  60.49  40
0 2 1  3.590  24.80  33
2 2 2  1.932  47.03  22
0 2 0  4.343  20.45  17

Crystal structure
```
data_LiVFeO4
_chemical_formula_sum 'Li4 V4 Fe4 O16'
_cell_length_a 5.857
_cell_length_b 8.687
_cell_length_c 6.379
_cell_angle_alpha 90.00
_cell_angle_beta 90.00
_cell_angle_gamma 90.00
_space_group_name_H-M_alt 'C m c m'
_space_group_IT_number 63
_space_group_name_Hall '-C 2c 2'
loop_
_atom_site_label
_atom_site_type_symbol
_atom_site_fract_x
_atom_site_fract_y
_atom_site_fract_z
Li1 Li 0.000 0.163 0.250
V1 V 0.000 0.147 0.750
Fe1 Fe 0.000 0.500 0.000
O1 O 0.000 0.261 0.528
O2 O 0.237 0.021 0.750
```